Computed powder diffractogram
Compound: CaH2Pd
Radiation: Cu Kα (weighted mean of Kα1 and Kα2)
Structure: a DFT-relaxed cell (PBE, the Materials Project)
Lines closer than 0.1° are merged.

Main lines, in order of rising 2θ (15° ≤ 2θ ≤ 90°):
Position (°2θ), I (rel.), index
23.9, 25, 1 0 0
25.1, 12, 0 0 1
34.0, 52, 1 1 0
34.9, 100, 1 0 1
42.7, 10, 1 1 1
48.9, 19, 2 0 0
51.4, 8, 0 0 2
61.4, 36, 2 1 1
63.1, 16, 1 1 2
73.7, 10, 2 0 2

Crystal structure
```
data_CaH2Pd
_cell_length_a 3.729
_cell_length_b 3.729
_cell_length_c 3.553
_cell_angle_alpha 90.00
_cell_angle_beta 90.00
_cell_angle_gamma 90.00
_space_group_name_H-M_alt 'P 4/m m m'
_space_group_IT_number 123
_space_group_name_Hall '-P 4 2'
loop_
_atom_site_label
_atom_site_type_symbol
_atom_site_fract_x
_atom_site_fract_y
_atom_site_fract_z
Ca1 Ca 0.000 0.000 0.000
H1 H 0.000 0.500 0.500
Pd1 Pd 0.500 0.500 0.500
```

Computed powder diffractogram
Compound: KAl11O17
Radiation: Cu Kα (weighted mean of Kα1 and Kα2)
Structure: a DFT-relaxed cell (PBE, the Materials Project)
Lines closer than 0.1° are merged.

Main lines, in order of rising 2θ (15° ≤ 2θ ≤ 90°):
Position (°2θ), I (rel.), index
15.5, 66, 0 0 4
19.7, 60, 0 2 2
31.7, 43, 2 0 0
32.9, 100, 1 1 7
35.4, 76, 2 0 4
41.9, 49, 0 4 5
43.9, 50, 2 2 6
57.2, 42, 2 4 7
66.1, 75, 4 0 0
69.0, 36, 2 2 14

Crystal structure
```
data_KAl11O17
_cell_length_a 5.656
_cell_length_b 9.781
_cell_length_c 22.909
_cell_angle_alpha 90.00
_cell_angle_beta 90.00
_cell_angle_gamma 90.00
_space_group_name_H-M_alt 'C m c m'
_space_group_IT_number 63
_space_group_name_Hall '-C 2c 2'
loop_
_atom_site_label
_atom_site_type_symbol
_atom_site_fract_x
_atom_site_fract_y
_atom_site_fract_z
K1 K 0.000 0.184 0.250
Al1 Al 0.000 0.167 0.525
Al2 Al 0.000 0.168 0.675
Al3 Al 0.000 0.333 0.106
Al4 Al 0.000 0.500 0.000
Al5 Al 0.248 0.083 0.106
O1 O 0.000 0.002 0.146
O2 O 0.000 0.166 0.055
O3 O 0.000 0.179 0.750
O4 O 0.000 0.343 0.549
O5 O 0.000 0.500 0.141
O6 O 0.236 0.422 0.050
O7 O 0.246 0.249 0.145
```

Computed powder diffractogram
Compound: TeO2
Radiation: Cu Kα (weighted mean of Kα1 and Kα2)
Structure: a DFT-relaxed cell (PBE, the Materials Project)
Lines closer than 0.1° are merged.

Main lines, in order of rising 2θ (15° ≤ 2θ ≤ 90°):
Position (°2θ), I (rel.), index
23.3, 100, 1 1 1
26.5, 98, 1 1 2
29.1, 40, 0 0 4
32.0, 41, 2 0 0
38.3, 24, 0 2 3
43.2, 23, 1 1 5
43.8, 22, 2 0 4
45.8, 26, 2 2 1
50.0, 19, 1 1 6
50.7, 22, 2 2 3

Crystal structure
```
data_TeO2
_cell_length_a 5.599
_cell_length_b 5.748
_cell_length_c 12.285
_cell_angle_alpha 90.00
_cell_angle_beta 90.00
_cell_angle_gamma 90.00
_space_group_name_H-M_alt 'P b c a'
_space_group_IT_number 61
_space_group_name_Hall '-P 2ac 2ab'
loop_
_atom_site_label
_atom_site_type_symbol
_atom_site_fract_x
_atom_site_fract_y
_atom_site_fract_z
Te1 Te 0.030 0.121 0.116
O1 O 0.144 0.162 0.970
O2 O 0.223 0.087 0.668
```

Computed powder diffractogram
Compound: Re2H4O9
Radiation: Cu Kα (weighted mean of Kα1 and Kα2)
Structure: a DFT-relaxed cell (PBE, the Materials Project)
Lines closer than 0.1° are merged.

Main lines, in order of rising 2θ (15° ≤ 2θ ≤ 90°):
Position (°2θ), I (rel.), index
19.5, 100, 1 0 -1
19.9, 93, 0 2 0
23.9, 79, 0 1 2
24.6, 72, 1 1 1
28.0, 83, 1 2 -1
30.2, 18, 1 2 1
37.8, 20, 2 1 0
44.7, 27, 2 2 -2
45.4, 29, 1 4 -1
46.8, 21, 1 3 -3

Crystal structure
```
data_Re2H4O9
_cell_length_a 4.996
_cell_length_b 8.902
_cell_length_c 8.297
_cell_angle_alpha 90.00
_cell_angle_beta 98.84
_cell_angle_gamma 90.00
_space_group_name_H-M_alt 'P 1 21 1'
_space_group_IT_number 4
_space_group_name_Hall 'P 2yb'
loop_
_atom_site_label
_atom_site_type_symbol
_atom_site_fract_x
_atom_site_fract_y
_atom_site_fract_z
Re1 Re 0.050 0.000 0.050
Re2 Re 0.389 0.494 0.380
H1 H 0.039 0.720 0.474
H2 H 0.156 0.002 0.443
H3 H 0.481 0.267 0.213
H4 H 0.485 0.728 0.208
O1 O 0.134 0.500 0.153
O2 O 0.166 0.360 0.440
O3 O 0.170 0.499 0.807
O4 O 0.181 0.648 0.453
O5 O 0.252 0.840 0.082
O6 O 0.255 0.159 0.084
O7 O 0.349 0.992 0.433
O8 O 0.423 0.853 0.726
O9 O 0.426 0.147 0.721
```

Computed powder diffractogram
Compound: Mg14NbC
Radiation: Cu Kα (weighted mean of Kα1 and Kα2)
Structure: a DFT-relaxed cell (PBE, the Materials Project)
Lines closer than 0.1° are merged.

Main lines, in order of rising 2θ (15° ≤ 2θ ≤ 90°):
Position (°2θ), I (rel.), index
16.4, 13, 1 0 0
18.8, 24, 1 0 1
33.1, 26, 2 0 0
37.1, 24, 0 0 4
38.1, 100, 2 0 2
50.6, 15, 2 0 4
59.2, 17, 2 2 0
67.5, 16, 2 0 6
71.9, 17, 2 2 4
72.6, 13, 4 0 2

Crystal structure
```
data_Mg14NbC
_cell_length_a 6.2452
_cell_length_b 6.2452
_cell_length_c 9.7014
_cell_angle_alpha 90.00
_cell_angle_beta 90.00
_cell_angle_gamma 120.00
_space_group_name_H-M_alt 'P -6 m 2'
_space_group_IT_number 187
_space_group_name_Hall 'P -6 2'
loop_
_atom_site_label
_atom_site_type_symbol
_atom_site_fract_x
_atom_site_fract_y
_atom_site_fract_z
Mg1 Mg 0.0000 0.0000 0.2422
Mg2 Mg 0.0242 0.5121 0.2624
Mg3 Mg 0.3276 0.1638 0.5000
Mg4 Mg 0.3427 0.1713 0.0000
Nb1 Nb 0.3333 0.6667 0.0000
C1 C 0.3333 0.6667 0.5000
```

Computed powder diffractogram
Compound: BaP10
Radiation: Cu Kα (weighted mean of Kα1 and Kα2)
Structure: a DFT-relaxed cell (PBE, the Materials Project)
Lines closer than 0.1° are merged.

Main lines, in order of rising 2θ (15° ≤ 2θ ≤ 90°):
Position (°2θ), I (rel.), index
16.9, 83, 1 1 1
20.0, 98, 0 2 2
24.7, 62, 1 3 0
25.9, 53, 0 2 3
26.9, 70, 1 1 3
28.8, 86, 1 3 2
31.2, 100, 2 0 2
31.7, 82, 2 2 1
40.0, 53, 2 4 1
40.3, 74, 1 1 5

Crystal structure
```
data_BaP10
_cell_length_a 6.495
_cell_length_b 12.983
_cell_length_c 12.140
_cell_angle_alpha 90.00
_cell_angle_beta 90.00
_cell_angle_gamma 90.00
_space_group_name_H-M_alt 'C m c 21'
_space_group_IT_number 36
_space_group_name_Hall 'C 2c -2'
loop_
_atom_site_label
_atom_site_type_symbol
_atom_site_fract_x
_atom_site_fract_y
_atom_site_fract_z
Ba1 Ba 0.000 0.187 0.000
P1 P 0.000 0.066 0.449
P2 P 0.000 0.092 0.727
P3 P 0.000 0.187 0.577
P4 P 0.000 0.389 0.401
P5 P 0.000 0.408 0.223
P6 P 0.000 0.449 0.942
P7 P 0.245 0.376 0.841
P8 P 0.249 0.022 0.191
```

Computed powder diffractogram
Compound: Na3YCl6
Radiation: Cu Kα (weighted mean of Kα1 and Kα2)
Structure: a DFT-relaxed cell (PBE, the Materials Project)
Lines closer than 0.1° are merged.

Main lines, in order of rising 2θ (15° ≤ 2θ ≤ 90°):
Position (°2θ), I (rel.), index
15.1, 81, 1 0 1
17.1, 61, 0 1 2
23.7, 26, 1 0 4
28.8, 100, 2 -1 3
34.7, 34, 0 2 4
38.1, 75, 1 1 6
43.2, 23, 3 -1 4
43.9, 50, 3 0 0
45.7, 19, 3 -2 5
50.5, 30, 1 1 9

Crystal structure
```
data_Na3YCl6
_cell_length_a 7.1395
_cell_length_b 7.1395
_cell_length_c 18.8826
_cell_angle_alpha 90.00
_cell_angle_beta 90.00
_cell_angle_gamma 120.00
_space_group_name_H-M_alt 'R -3'
_space_group_IT_number 148
_space_group_name_Hall '-R 3'
loop_
_atom_site_label
_atom_site_type_symbol
_atom_site_fract_x
_atom_site_fract_y
_atom_site_fract_z
Na1 Na 0.0000 0.0000 0.0000
Na2 Na 0.0000 0.0000 0.3003
Y1 Y 0.0000 0.0000 0.5000
Cl1 Cl 0.0227 0.3052 0.5861
```

Computed powder diffractogram
Compound: LiEu2Ga7
Radiation: Cu Kα (weighted mean of Kα1 and Kα2)
Structure: a DFT-relaxed cell (PBE, the Materials Project)
Lines closer than 0.1° are merged.

Main lines, in order of rising 2θ (15° ≤ 2θ ≤ 90°):
Position (°2θ), I (rel.), index
29.4, 30, 1 1 0
32.0, 76, 1 0 3
33.7, 100, 1 1 2
42.0, 56, 2 0 0
46.2, 41, 1 0 5
53.8, 35, 2 1 3
61.0, 18, 2 2 0
64.2, 30, 2 1 5
71.5, 22, 3 1 2
83.2, 13, 2 0 8

Crystal structure
```
data_LiEu2Ga7
_cell_length_a 4.298
_cell_length_b 4.298
_cell_length_c 11.041
_cell_angle_alpha 90.00
_cell_angle_beta 90.00
_cell_angle_gamma 90.00
_space_group_name_H-M_alt 'P -4 m 2'
_space_group_IT_number 115
_space_group_name_Hall 'P -4 -2'
loop_
_atom_site_label
_atom_site_type_symbol
_atom_site_fract_x
_atom_site_fract_y
_atom_site_fract_z
Li1 Li 0.000 0.000 0.000
Eu1 Eu 0.000 0.500 0.253
Ga1 Ga 0.000 0.000 0.500
Ga2 Ga 0.000 0.500 0.640
Ga3 Ga 0.000 0.500 0.867
Ga4 Ga 0.500 0.500 0.000
Ga5 Ga 0.500 0.500 0.500
```

Computed powder diffractogram
Compound: NaNbO3
Radiation: Cu Kα (weighted mean of Kα1 and Kα2)
Structure: a DFT-relaxed cell (PBE, the Materials Project)
Lines closer than 0.1° are merged.

Main lines, in order of rising 2θ (15° ≤ 2θ ≤ 90°):
Position (°2θ), I (rel.), index
22.2, 73, 1 0 1
22.5, 34, 0 2 0
31.5, 21, 2 0 0
31.9, 100, 1 2 1
45.4, 36, 2 0 2
46.0, 16, 0 4 0
51.3, 20, 2 2 2
56.3, 16, 3 2 1
56.7, 18, 1 2 3
66.6, 18, 2 4 2

Crystal structure
```
data_NaNbO3
_cell_length_a 5.679
_cell_length_b 7.889
_cell_length_c 5.626
_cell_angle_alpha 90.00
_cell_angle_beta 90.00
_cell_angle_gamma 90.00
_space_group_name_H-M_alt 'I m m a'
_space_group_IT_number 74
_space_group_name_Hall '-I 2b 2'
loop_
_atom_site_label
_atom_site_type_symbol
_atom_site_fract_x
_atom_site_fract_y
_atom_site_fract_z
Na1 Na 0.000 0.250 0.005
Nb1 Nb 0.000 0.000 0.500
O1 O 0.000 0.250 0.564
O2 O 0.250 0.033 0.250
```